The following is a computed X-ray powder pattern of LaCoO3. It was derived from a cell relaxed with GGA+U, using Cu Kα (weighted mean of Kα1 and Kα2).

Cell lengths 5.441, 5.468, 5.475 Å; angles 61.05, 61.10, 61.18 degrees
Atoms (fractional coordinates):
La: 0.248 0.250 0.252
La: 0.752 0.750 0.748
Co: 0.000 0.000 0.000
Co: 0.500 0.500 0.500
O: 0.183 0.308 0.754
O: 0.237 0.819 0.694
O: 0.308 0.758 0.179
O: 0.692 0.242 0.821
O: 0.763 0.181 0.306
O: 0.817 0.692 0.246

Main lines, in order of rising 2θ (15° ≤ 2θ ≤ 90°):
| d [Å] | I_rel | (hkl) |
| --- | --- | --- |
| 3.898 | 17 | 1 0 1 |
| 2.776 | 100 | 1 -1 0 |
| 2.735 | 68 | 1 1 2 |
| 2.720 | 33 | 2 1 1 |
| 2.264 | 15 | 0 2 0 |
| 1.952 | 20 | 0 2 2 |
| 1.944 | 40 | 2 2 0 |
| 1.604 | 16 | 1 -2 1 |
| 1.597 | 20 | 0 1 3 |
| 1.588 | 14 | 3 0 1 |